[1]
# NdDy4Tm7
Calculated X-ray diffraction stick pattern, Cu Kα (λ = 1.5418 Å). Input: DFT lattice parameters and positions (GGA-PBE).
Neutral-atom scattering factors, no anomalous dispersion.

Atomic structure:
Lattice parameters (Å, degrees): 6.153 7.106 8.739 89.99 76.32 89.91
Element x y z (fractional)
Nd1 0.000 0.000 0.000
Dy1 0.222 0.500 0.334
Dy2 0.279 0.250 0.664
Dy3 0.721 0.750 0.336
Dy4 0.778 0.500 0.666
Tm1 0.000 0.500 0.000
Tm2 0.222 0.000 0.334
Tm3 0.279 0.749 0.665
Tm4 0.500 0.250 0.000
Tm5 0.500 0.750 0.000
Tm6 0.721 0.251 0.335
Tm7 0.778 0.000 0.666

Largest 10 diffraction maxima, in order of rising 2θ, 10° ≤ 2θ ≤ 80°:
2θ 29.24, d = 3.055 Å, rel. 371; 2θ 29.88, d = 2.991 Å, rel. 154; 2θ 31.61, d = 2.830 Å, rel. 502; 2θ 32.31, d = 2.770 Å, rel. 1000; 2θ 34.04, d = 2.634 Å, rel. 893; 2θ 51.44, d = 1.776 Å, rel. 388; 2θ 55.61, d = 1.653 Å, rel. 211; 2θ 58.98, d = 1.566 Å, rel. 190; 2θ 61.63, d = 1.505 Å, rel. 376; 2θ 63.13, d = 1.473 Å, rel. 151

---

[2]
# Nd3Dy2Tm6
Calculated X-ray diffraction stick pattern, Cu Kα (λ = 1.5418 Å). Input: DFT lattice parameters and positions (GGA-PBE).
Neutral-atom scattering factors, no anomalous dispersion.

Atomic structure:
Lattice parameters (Å, degrees): 6.139 6.139 11.504 95.15 95.15 120.10
Element x y z (fractional)
Nd1 0.000 0.000 0.000
Nd2 0.336 0.664 0.000
Nd3 0.664 0.336 0.000
Dy1 0.166 0.834 0.500
Dy2 0.834 0.166 0.500
Tm1 0.085 0.418 0.254
Tm2 0.249 0.249 0.746
Tm3 0.418 0.085 0.254
Tm4 0.582 0.915 0.746
Tm5 0.751 0.751 0.254
Tm6 0.915 0.582 0.746

Largest 10 diffraction maxima, in order of rising 2θ, 10° ≤ 2θ ≤ 80°:
2θ 30.99, d = 2.885 Å, rel. 1000; 2θ 31.62, d = 2.829 Å, rel. 315; 2θ 36.13, d = 2.486 Å, rel. 664; 2θ 51.60, d = 1.771 Å, rel. 243; 2θ 52.43, d = 1.745 Å, rel. 228; 2θ 61.37, d = 1.511 Å, rel. 96; 2θ 61.75, d = 1.502 Å, rel. 188; 2θ 61.88, d = 1.499 Å, rel. 94; 2θ 62.49, d = 1.486 Å, rel. 89; 2θ 64.60, d = 1.443 Å, rel. 123

---

[3]
# Nd2Dy3Tm7
Calculated X-ray diffraction stick pattern, Cu Kα (λ = 1.5418 Å). Input: DFT lattice parameters and positions (GGA-PBE).
Neutral-atom scattering factors, no anomalous dispersion.

Atomic structure:
Lattice parameters (Å, degrees): 18.970 18.970 3.591 90.00 90.00 162.93
Element x y z (fractional)
Nd1 0.147 0.853 0.000
Nd2 0.853 0.147 0.000
Dy1 0.314 0.686 0.500
Dy2 0.500 0.500 0.500
Dy3 0.686 0.314 0.500
Tm1 0.000 0.000 0.000
Tm2 0.070 0.930 0.500
Tm3 0.230 0.770 0.000
Tm4 0.411 0.589 0.000
Tm5 0.589 0.411 0.000
Tm6 0.770 0.230 0.000
Tm7 0.930 0.070 0.500

Largest 10 diffraction maxima, in order of rising 2θ, 10° ≤ 2θ ≤ 80°:
2θ 28.55, d = 3.127 Å, rel. 103; 2θ 30.64, d = 2.918 Å, rel. 266; 2θ 31.37, d = 2.851 Å, rel. 150; 2θ 31.84, d = 2.811 Å, rel. 1000; 2θ 34.01, d = 2.636 Å, rel. 221; 2θ 34.93, d = 2.569 Å, rel. 139; 2θ 45.26, d = 2.004 Å, rel. 110; 2θ 56.67, d = 1.624 Å, rel. 126; 2θ 60.12, d = 1.539 Å, rel. 99; 2θ 61.22, d = 1.514 Å, rel. 112

---

[4]
# NdDy12Tm7
Calculated X-ray diffraction stick pattern, Cu Kα (λ = 1.5418 Å). Input: DFT lattice parameters and positions (GGA-PBE).
Neutral-atom scattering factors, no anomalous dispersion.

Atomic structure:
Lattice parameters (Å, degrees): 8.667 8.667 8.667 86.73 86.73 86.73
Element x y z (fractional)
Nd1 0.000 0.000 0.000
Dy1 0.103 0.430 0.346
Dy2 0.231 0.352 0.760
Dy3 0.240 0.769 0.648
Dy4 0.346 0.103 0.430
Dy5 0.352 0.760 0.231
Dy6 0.430 0.346 0.103
Dy7 0.570 0.654 0.897
Dy8 0.648 0.240 0.769
Dy9 0.654 0.897 0.570
Dy10 0.760 0.231 0.352
Dy11 0.769 0.648 0.240
Dy12 0.897 0.570 0.654
Tm1 0.003 0.877 0.369
Tm2 0.123 0.631 0.997
Tm3 0.369 0.003 0.877
Tm4 0.500 0.500 0.500
Tm5 0.631 0.997 0.123
Tm6 0.877 0.369 0.003
Tm7 0.997 0.123 0.631

Largest 10 diffraction maxima, in order of rising 2θ, 10° ≤ 2θ ≤ 80°:
2θ 29.49, d = 3.029 Å, rel. 281; 2θ 31.05, d = 2.880 Å, rel. 344; 2θ 31.81, d = 2.814 Å, rel. 1000; 2θ 32.23, d = 2.778 Å, rel. 484; 2θ 33.19, d = 2.700 Å, rel. 231; 2θ 33.32, d = 2.689 Å, rel. 516; 2θ 37.25, d = 2.414 Å, rel. 149; 2θ 55.42, d = 1.658 Å, rel. 139; 2θ 55.69, d = 1.651 Å, rel. 179; 2θ 56.28, d = 1.635 Å, rel. 141

---

[5]
# Nd14DyTm
Calculated X-ray diffraction stick pattern, Cu Kα (λ = 1.5418 Å). Input: DFT lattice parameters and positions (GGA-PBE).
Neutral-atom scattering factors, no anomalous dispersion.

Atomic structure:
Lattice parameters (Å, degrees): 7.320 7.320 10.347 90.00 90.00 90.00
Element x y z (fractional)
Nd1 0.000 0.000 0.000
Nd2 0.000 0.500 0.000
Nd3 0.000 0.500 0.500
Nd4 0.250 0.250 0.253
Nd5 0.250 0.250 0.747
Nd6 0.250 0.750 0.253
Nd7 0.250 0.750 0.747
Nd8 0.500 0.000 0.000
Nd9 0.500 0.000 0.500
Nd10 0.500 0.500 0.000
Nd11 0.750 0.250 0.253
Nd12 0.750 0.250 0.747
Nd13 0.750 0.750 0.253
Nd14 0.750 0.750 0.747
Dy1 0.000 0.000 0.500
Tm1 0.500 0.500 0.500

Largest 6 diffraction maxima, in order of rising 2θ, 10° ≤ 2θ ≤ 80°:
2θ 29.91, d = 2.988 Å, rel. 1000; 2θ 34.67, d = 2.587 Å, rel. 507; 2θ 49.84, d = 1.830 Å, rel. 363; 2θ 59.22, d = 1.560 Å, rel. 433; 2θ 62.14, d = 1.494 Å, rel. 125; 2θ 73.15, d = 1.294 Å, rel. 58

---

[6]
# Nd3Dy4Tm
Calculated X-ray diffraction stick pattern, Cu Kα (λ = 1.5418 Å). Input: DFT lattice parameters and positions (GGA-PBE).
Neutral-atom scattering factors, no anomalous dispersion.

Atomic structure:
Lattice parameters (Å, degrees): 11.600 6.232 7.212 90.00 90.00 90.00
Element x y z (fractional)
Nd1 0.000 0.167 0.000
Nd2 0.249 0.498 0.500
Nd3 0.251 0.502 0.000
Nd4 0.500 0.833 0.500
Nd5 0.749 0.502 0.000
Nd6 0.751 0.498 0.500
Dy1 0.000 0.167 0.501
Dy2 0.000 0.667 0.251
Dy3 0.250 0.000 0.250
Dy4 0.250 0.000 0.750
Dy5 0.500 0.333 0.751
Dy6 0.500 0.833 0.001
Dy7 0.750 0.000 0.250
Dy8 0.750 0.000 0.750
Tm1 0.000 0.667 0.749
Tm2 0.500 0.333 0.249

Largest 10 diffraction maxima, in order of rising 2θ, 10° ≤ 2θ ≤ 80°:
2θ 29.66, d = 3.012 Å, rel. 448; 2θ 30.83, d = 2.900 Å, rel. 347; 2θ 32.59, d = 2.747 Å, rel. 1000; 2θ 37.03, d = 2.428 Å, rel. 249; 2θ 48.93, d = 1.862 Å, rel. 113; 2θ 50.69, d = 1.801 Å, rel. 261; 2θ 55.95, d = 1.643 Å, rel. 216; 2θ 60.52, d = 1.530 Å, rel. 307; 2θ 61.54, d = 1.507 Å, rel. 108; 2θ 78.85, d = 1.214 Å, rel. 79

---

[7]
# Nd2Dy12Tm5
Calculated X-ray diffraction stick pattern, Cu Kα (λ = 1.5418 Å). Input: DFT lattice parameters and positions (GGA-PBE).
Neutral-atom scattering factors, no anomalous dispersion.

Atomic structure:
Lattice parameters (Å, degrees): 6.575 8.812 10.894 84.33 79.15 77.82
Element x y z (fractional)
Nd1 0.159 0.173 0.005
Nd2 0.841 0.827 0.995
Dy1 0.091 0.254 0.298
Dy2 0.125 0.190 0.702
Dy3 0.233 0.555 0.454
Dy4 0.323 0.485 0.772
Dy5 0.370 0.876 0.220
Dy6 0.385 0.821 0.870
Dy7 0.615 0.179 0.130
Dy8 0.630 0.124 0.780
Dy9 0.677 0.515 0.228
Dy10 0.767 0.445 0.546
Dy11 0.875 0.810 0.298
Dy12 0.909 0.746 0.702
Tm1 0.000 0.000 0.500
Tm2 0.241 0.539 0.097
Tm3 0.479 0.816 0.549
Tm4 0.521 0.184 0.451
Tm5 0.759 0.461 0.903

Largest 10 diffraction maxima, in order of rising 2θ, 10° ≤ 2θ ≤ 80°:
2θ 30.09, d = 2.970 Å, rel. 218; 2θ 30.86, d = 2.897 Å, rel. 277; 2θ 31.00, d = 2.884 Å, rel. 308; 2θ 31.21, d = 2.866 Å, rel. 376; 2θ 31.63, d = 2.829 Å, rel. 1000; 2θ 31.99, d = 2.798 Å, rel. 590; 2θ 32.21, d = 2.779 Å, rel. 434; 2θ 32.71, d = 2.738 Å, rel. 166; 2θ 33.92, d = 2.643 Å, rel. 267; 2θ 36.53, d = 2.460 Å, rel. 187

---

[8]
# Nd3Dy4Tm4
Calculated X-ray diffraction stick pattern, Cu Kα (λ = 1.5418 Å). Input: DFT lattice parameters and positions (GGA-PBE).
Neutral-atom scattering factors, no anomalous dispersion.

Atomic structure:
Lattice parameters (Å, degrees): 10.585 6.634 6.634 50.67 90.00 90.00
Element x y z (fractional)
Nd1 0.000 0.000 0.000
Nd2 0.290 0.154 0.154
Nd3 0.710 0.154 0.154
Dy1 0.000 0.703 0.703
Dy2 0.215 0.497 0.497
Dy3 0.500 0.634 0.634
Dy4 0.785 0.497 0.497
Tm1 0.000 0.302 0.302
Tm2 0.297 0.849 0.849
Tm3 0.500 0.361 0.361
Tm4 0.703 0.849 0.849

Largest 10 diffraction maxima, in order of rising 2θ, 10° ≤ 2θ ≤ 80°:
2θ 30.75, d = 2.907 Å, rel. 265; 2θ 31.00, d = 2.885 Å, rel. 144; 2θ 31.51, d = 2.839 Å, rel. 364; 2θ 32.19, d = 2.781 Å, rel. 1000; 2θ 33.88, d = 2.646 Å, rel. 162; 2θ 44.79, d = 2.023 Å, rel. 105; 2θ 46.94, d = 1.936 Å, rel. 131; 2θ 56.54, d = 1.628 Å, rel. 204; 2θ 62.44, d = 1.487 Å, rel. 125; 2θ 62.93, d = 1.477 Å, rel. 115

---

[9]
# Nd2Dy3Tm9
Calculated X-ray diffraction stick pattern, Cu Kα (λ = 1.5418 Å). Input: DFT lattice parameters and positions (GGA-PBE).
Neutral-atom scattering factors, no anomalous dispersion.

Atomic structure:
Lattice parameters (Å, degrees): 6.193 8.661 8.698 79.42 76.72 86.83
Element x y z (fractional)
Nd1 0.000 0.000 0.000
Nd2 0.097 0.064 0.588
Dy1 0.299 0.647 0.012
Dy2 0.621 0.054 0.355
Dy3 0.800 0.405 0.557
Tm1 0.064 0.290 0.197
Tm2 0.080 0.784 0.370
Tm3 0.213 0.364 0.791
Tm4 0.360 0.423 0.391
Tm5 0.464 0.714 0.596
Tm6 0.549 0.025 0.790
Tm7 0.642 0.339 0.997
Tm8 0.739 0.655 0.189
Tm9 0.897 0.692 0.781

Largest 10 diffraction maxima, in order of rising 2θ, 10° ≤ 2θ ≤ 80°:
2θ 31.50, d = 2.840 Å, rel. 607; 2θ 31.63, d = 2.829 Å, rel. 252; 2θ 31.80, d = 2.814 Å, rel. 1000; 2θ 32.12, d = 2.786 Å, rel. 632; 2θ 33.45, d = 2.679 Å, rel. 405; 2θ 33.95, d = 2.641 Å, rel. 277; 2θ 34.72, d = 2.583 Å, rel. 470; 2θ 42.03, d = 2.150 Å, rel. 126; 2θ 49.01, d = 1.859 Å, rel. 195; 2θ 53.01, d = 1.727 Å, rel. 163

---

[10]
# Nd3DyTm
Calculated X-ray diffraction stick pattern, Cu Kα (λ = 1.5418 Å). Input: DFT lattice parameters and positions (GGA-PBE).
Neutral-atom scattering factors, no anomalous dispersion.

Atomic structure:
Lattice parameters (Å, degrees): 7.209 3.629 25.484 90.00 90.00 90.00
Element x y z (fractional)
Nd1 0.118 0.250 0.148
Nd2 0.128 0.250 0.549
Nd3 0.130 0.250 0.750
Nd4 0.370 0.750 0.250
Nd5 0.372 0.750 0.049
Nd6 0.382 0.750 0.648
Nd7 0.618 0.250 0.352
Nd8 0.628 0.250 0.951
Nd9 0.630 0.250 0.750
Nd10 0.870 0.750 0.250
Nd11 0.872 0.750 0.451
Nd12 0.882 0.750 0.852
Dy1 0.124 0.250 0.352
Dy2 0.376 0.750 0.852
Dy3 0.624 0.250 0.148
Dy4 0.876 0.750 0.648
Tm1 0.126 0.250 0.951
Tm2 0.374 0.750 0.451
Tm3 0.626 0.250 0.549
Tm4 0.874 0.750 0.049

Largest 10 diffraction maxima, in order of rising 2θ, 10° ≤ 2θ ≤ 80°:
2θ 30.23, d = 2.956 Å, rel. 1000; 2θ 30.37, d = 2.943 Å, rel. 985; 2θ 35.09, d = 2.557 Å, rel. 675; 2θ 35.22, d = 2.548 Å, rel. 333; 2θ 50.29, d = 1.814 Å, rel. 122; 2θ 50.58, d = 1.805 Å, rel. 594; 2θ 59.89, d = 1.544 Å, rel. 288; 2θ 60.13, d = 1.539 Å, rel. 422; 2θ 60.22, d = 1.537 Å, rel. 140; 2θ 62.88, d = 1.478 Å, rel. 124

---

[11]
# Nd2Dy12Tm5
Calculated X-ray diffraction stick pattern, Cu Kα (λ = 1.5418 Å). Input: DFT lattice parameters and positions (GGA-PBE).
Neutral-atom scattering factors, no anomalous dispersion.

Atomic structure:
Lattice parameters (Å, degrees): 9.104 9.104 8.488 90.73 90.73 60.60
Element x y z (fractional)
Nd1 0.184 0.816 0.000
Nd2 0.816 0.184 0.000
Dy1 0.059 0.059 0.330
Dy2 0.066 0.682 0.347
Dy3 0.161 0.524 0.756
Dy4 0.318 0.934 0.653
Dy5 0.405 0.405 0.117
Dy6 0.476 0.839 0.244
Dy7 0.524 0.161 0.756
Dy8 0.595 0.595 0.883
Dy9 0.682 0.066 0.347
Dy10 0.839 0.476 0.244
Dy11 0.934 0.318 0.653
Dy12 0.941 0.941 0.670
Tm1 0.197 0.197 0.009
Tm2 0.268 0.268 0.424
Tm3 0.500 0.500 0.500
Tm4 0.732 0.732 0.576
Tm5 0.803 0.803 0.991

Largest 10 diffraction maxima, in order of rising 2θ, 10° ≤ 2θ ≤ 80°:
2θ 30.75, d = 2.908 Å, rel. 742; 2θ 31.25, d = 2.862 Å, rel. 511; 2θ 31.59, d = 2.832 Å, rel. 888; 2θ 31.73, d = 2.820 Å, rel. 1000; 2θ 31.88, d = 2.807 Å, rel. 514; 2θ 33.55, d = 2.671 Å, rel. 711; 2θ 35.66, d = 2.518 Å, rel. 470; 2θ 36.60, d = 2.455 Å, rel. 383; 2θ 55.76, d = 1.649 Å, rel. 333; 2θ 60.34, d = 1.534 Å, rel. 388

---

[12]
# Nd6DyTm3
Calculated X-ray diffraction stick pattern, Cu Kα (λ = 1.5418 Å). Input: DFT lattice parameters and positions (GGA-PBE).
Neutral-atom scattering factors, no anomalous dispersion.

Atomic structure:
Lattice parameters (Å, degrees): 11.108 11.108 6.362 90.00 90.00 121.16
Element x y z (fractional)
Nd1 0.034 0.966 0.500
Nd2 0.061 0.485 0.963
Nd3 0.282 0.718 0.267
Nd4 0.286 0.372 0.157
Nd5 0.372 0.286 0.657
Nd6 0.485 0.061 0.463
Nd7 0.515 0.939 0.963
Nd8 0.628 0.714 0.157
Nd9 0.714 0.628 0.657
Nd10 0.718 0.282 0.767
Nd11 0.939 0.515 0.463
Nd12 0.966 0.034 0.000
Dy1 0.193 0.807 0.716
Dy2 0.807 0.193 0.216
Tm1 0.053 0.281 0.583
Tm2 0.281 0.053 0.083
Tm3 0.387 0.613 0.695
Tm4 0.613 0.387 0.195
Tm5 0.719 0.947 0.583
Tm6 0.947 0.719 0.083

Largest 10 diffraction maxima, in order of rising 2θ, 10° ≤ 2θ ≤ 80°:
2θ 28.18, d = 3.167 Å, rel. 319; 2θ 28.37, d = 3.146 Å, rel. 496; 2θ 28.64, d = 3.117 Å, rel. 504; 2θ 29.59, d = 3.019 Å, rel. 299; 2θ 31.09, d = 2.877 Å, rel. 1000; 2θ 31.54, d = 2.836 Å, rel. 566; 2θ 32.58, d = 2.748 Å, rel. 189; 2θ 33.80, d = 2.652 Å, rel. 386; 2θ 33.91, d = 2.644 Å, rel. 518; 2θ 60.20, d = 1.537 Å, rel. 318